(1)
Starting from a DFT-relaxed cell (PBE, the Materials Project), the XRD peak list of CeSn6Ru4 was calculated for copper Kα.
Intensities are scaled so that the largest is 100.

Principal peaks in the range 10° ≤ 2θ ≤ 90°, sorted by position:
2θ/deg	d/Å	I (rel.)
30.20	2.960	87
31.51	2.839	78
39.92	2.258	100
40.05	2.251	71
40.90	2.207	74
41.13	2.194	60

Structure:
Lattice parameters (Å, degrees): 6.963 6.963 6.963 120.25 120.25 89.57
Positions (direct):
Ce 0.000 0.000 0.000
Sn 0.000 0.500 0.500
Sn 0.120 0.120 0.651
Sn 0.470 0.470 0.349
Sn 0.500 0.000 0.500
Sn 0.530 0.880 0.000
Sn 0.880 0.530 0.000
Ru 0.247 0.600 0.000
Ru 0.400 0.400 0.648
Ru 0.600 0.247 0.000
Ru 0.753 0.753 0.352



(2)
Starting from a DFT-relaxed cell (PBE, the Materials Project), the XRD peak list of Ce3Sn6Ru was calculated for copper Kα.
Intensities are scaled so that the largest is 100.

Principal peaks in the range 10° ≤ 2θ ≤ 90°, sorted by position:
2θ/deg	d/Å	I (rel.)
32.00	2.797	100
32.46	2.758	17
37.83	2.378	25
40.65	2.219	18
56.73	1.623	14
64.67	1.441	15

Structure:
Lattice parameters (Å, degrees): 8.609 8.609 13.317 90.00 90.00 147.93
Positions (direct):
Ce 0.101 0.899 0.594
Ce 0.101 0.899 0.906
Ce 0.102 0.898 0.250
Ce 0.898 0.102 0.750
Ce 0.899 0.101 0.094
Ce 0.899 0.101 0.406
Sn 0.244 0.756 0.066
Sn 0.244 0.756 0.434
Sn 0.268 0.732 0.750
Sn 0.426 0.574 0.576
Sn 0.426 0.574 0.924
Sn 0.460 0.540 0.250
Sn 0.540 0.460 0.750
Sn 0.574 0.426 0.076
Sn 0.574 0.426 0.424
Sn 0.732 0.268 0.250
Sn 0.756 0.244 0.566
Sn 0.756 0.244 0.934
Ru 0.302 0.698 0.250
Ru 0.698 0.302 0.750



(3)
Starting from a DFT-relaxed cell (PBE, the Materials Project), the XRD peak list of Ce2Zn4Ru was calculated for copper Kα.
Intensities are scaled so that the largest is 100.

Principal peaks in the range 10° ≤ 2θ ≤ 90°, sorted by position:
2θ/deg	d/Å	I (rel.)
32.74	2.735	83
35.29	2.543	100
38.94	2.313	98
41.48	2.177	76
53.55	1.711	36
65.77	1.420	42

Structure:
Lattice parameters (Å, degrees): 7.194 7.194 5.194 90.00 90.00 90.00
Positions (direct):
Ce 0.250 0.250 0.224
Ce 0.250 0.750 0.000
Ce 0.750 0.250 0.000
Ce 0.750 0.750 0.776
Zn 0.065 0.065 0.710
Zn 0.065 0.435 0.710
Zn 0.435 0.065 0.710
Zn 0.435 0.435 0.710
Zn 0.565 0.565 0.290
Zn 0.565 0.935 0.290
Zn 0.935 0.565 0.290
Zn 0.935 0.935 0.290
Ru 0.250 0.750 0.500
Ru 0.750 0.250 0.500



What is the formula in the third record? Ce2Zn4Ru